(1)
Simulated PXRD pattern of Ti2Al2Rh3 for copper Kα, from a GGA-PBE-relaxed structure.

Most intense lines, 2θ from 5° to 70°, by angle:
12.68 deg, intensity 7; 24.49 deg, intensity 19; 25.57 deg, intensity 14; 29.61 deg, intensity 18; 32.32 deg, intensity 4; 38.72 deg, intensity 7; 42.37 deg, intensity 100; 50.13 deg, intensity 5; 58.76 deg, intensity 4; 61.47 deg, intensity 16

Structure:
```
Ti2Al2Rh3
1.0
2.131 1.230 6.982
-2.131 1.230 6.982
0.000 -2.461 6.982
Ti Al Rh
2 2 3
Direct
0.126 0.126 0.126
0.874 0.874 0.874
0.379 0.379 0.379
0.621 0.621 0.621
0.000 0.000 0.000
0.249 0.249 0.249
0.751 0.751 0.751
```


(2)
Simulated PXRD pattern of Ti8Al15Rh7 for copper Kα, from a GGA-PBE-relaxed structure.

Most intense lines, 2θ from 5° to 70°, by angle:
20.56 deg, intensity 7; 25.25 deg, intensity 43; 29.23 deg, intensity 31; 36.00 deg, intensity 9; 38.27 deg, intensity 13; 41.80 deg, intensity 100; 41.88 deg, intensity 20; 49.48 deg, intensity 30; 60.62 deg, intensity 15; 68.72 deg, intensity 9

Structure:
```
Ti8Al15Rh7
1.0
-4.314 4.329 6.108
4.314 -4.329 6.108
4.314 4.329 -6.108
Ti Al Rh
8 15 7
Direct
0.000 0.000 0.000
0.009 0.008 0.573
0.009 0.436 0.001
0.427 0.427 0.000
0.435 0.008 0.999
0.435 0.436 0.427
0.597 0.353 0.756
0.597 0.841 0.244
0.062 0.372 0.690
0.065 0.370 0.306
0.065 0.759 0.694
0.082 0.840 0.243
0.214 0.214 0.000
0.353 0.596 0.757
0.368 0.066 0.302
0.372 0.062 0.690
0.372 0.682 0.310
0.597 0.840 0.757
0.683 0.372 0.310
0.763 0.066 0.698
0.839 0.083 0.244
0.839 0.595 0.756
0.839 0.596 0.243
0.218 0.718 0.500
0.219 0.218 0.501
0.219 0.718 0.001
0.716 0.216 0.500
0.717 0.218 0.999
0.717 0.717 0.000
0.717 0.718 0.499
```


(3)
Simulated PXRD pattern of Ti8Al2Rh3 for copper Kα, from a GGA-PBE-relaxed structure.

Most intense lines, 2θ from 5° to 70°, by angle:
12.63 deg, intensity 17; 14.61 deg, intensity 45; 25.01 deg, intensity 9; 25.42 deg, intensity 10; 32.68 deg, intensity 25; 41.03 deg, intensity 27; 41.87 deg, intensity 100; 42.10 deg, intensity 24; 44.81 deg, intensity 8; 60.24 deg, intensity 16

Structure:
```
Ti8Al2Rh3
1.0
4.293 -6.062 0.000
4.293 6.062 0.000
0.000 0.000 4.399
Ti Al Rh
8 2 3
Direct
0.110 0.356 0.500
0.124 0.876 0.000
0.356 0.110 0.500
0.372 0.628 0.000
0.628 0.372 0.000
0.644 0.890 0.500
0.876 0.124 0.000
0.890 0.644 0.500
0.259 0.741 0.500
0.741 0.259 0.500
0.252 0.252 0.000
0.500 0.500 0.500
0.748 0.748 0.000
```


(4)
Simulated PXRD pattern of Ti2AlRh3 for copper Kα, from a GGA-PBE-relaxed structure.

Most intense lines, 2θ from 5° to 70°, by angle:
24.83 deg, intensity 1; 29.04 deg, intensity 53; 34.62 deg, intensity 2; 41.32 deg, intensity 100; 41.75 deg, intensity 100; 50.93 deg, intensity 3; 51.66 deg, intensity 11; 60.19 deg, intensity 32; 67.89 deg, intensity 8; 68.51 deg, intensity 9

Structure:
```
Ti2AlRh3
1.0
4.327 0.000 0.000
-2.164 3.747 0.000
0.000 0.000 10.758
Ti Al Rh
4 2 6
Direct
0.000 0.000 0.000
0.000 0.000 0.500
0.333 0.667 0.167
0.667 0.333 0.833
0.333 0.667 0.663
0.667 0.333 0.337
0.000 0.000 0.256
0.000 0.000 0.744
0.333 0.667 0.419
0.333 0.667 0.903
0.667 0.333 0.097
0.667 0.333 0.581
```


(5)
Simulated PXRD pattern of Tm2Ti2AlRh5 for copper Kα, from a GGA-PBE-relaxed structure.

Most intense lines, 2θ from 5° to 70°, by angle:
33.39 deg, intensity 30; 34.51 deg, intensity 42; 35.56 deg, intensity 81; 36.62 deg, intensity 68; 37.71 deg, intensity 23; 39.72 deg, intensity 100; 42.58 deg, intensity 24; 45.30 deg, intensity 26; 63.89 deg, intensity 17; 64.58 deg, intensity 17

Structure:
```
Tm2Ti2AlRh5
1.0
10.410 0.000 0.000
0.000 10.410 0.000
0.000 0.000 3.132
Tm Ti Al Rh
4 4 2 10
Direct
0.173 0.327 0.000
0.327 0.827 0.000
0.673 0.173 0.000
0.827 0.673 0.000
0.134 0.634 0.000
0.366 0.134 0.000
0.634 0.866 0.000
0.866 0.366 0.000
0.000 0.000 0.000
0.500 0.500 0.000
0.000 0.500 0.500
0.049 0.804 0.500
0.196 0.049 0.500
0.304 0.549 0.500
0.451 0.304 0.500
0.500 0.000 0.500
0.549 0.696 0.500
0.696 0.451 0.500
0.804 0.951 0.500
0.951 0.196 0.500
```


(6)
Simulated PXRD pattern of Tm4Al16Rh3 for copper Kα, from a GGA-PBE-relaxed structure.

Most intense lines, 2θ from 5° to 70°, by angle:
20.59 deg, intensity 88; 23.87 deg, intensity 20; 29.28 deg, intensity 52; 31.72 deg, intensity 100; 38.12 deg, intensity 88; 41.89 deg, intensity 63; 47.11 deg, intensity 22; 48.81 deg, intensity 20; 53.49 deg, intensity 53; 60.73 deg, intensity 20

Structure:
```
Tm4Al16Rh3
1.0
6.100 0.000 0.000
0.000 6.100 0.000
0.000 0.000 11.184
Tm Al Rh
4 16 3
Direct
0.000 0.500 0.190
0.000 0.500 0.810
0.500 0.000 0.190
0.500 0.000 0.810
0.000 0.000 0.195
0.000 0.000 0.805
0.217 0.217 0.000
0.217 0.783 0.000
0.251 0.251 0.380
0.251 0.251 0.620
0.251 0.749 0.380
0.251 0.749 0.620
0.500 0.500 0.220
0.500 0.500 0.780
0.749 0.251 0.380
0.749 0.251 0.620
0.749 0.749 0.380
0.749 0.749 0.620
0.783 0.217 0.000
0.783 0.783 0.000
0.000 0.500 0.500
0.500 0.000 0.500
0.500 0.500 0.000
```


(7)
Simulated PXRD pattern of Tm3Al9Rh2 for copper Kα, from a GGA-PBE-relaxed structure.

Most intense lines, 2θ from 5° to 70°, by angle:
18.39 deg, intensity 17; 22.65 deg, intensity 59; 28.74 deg, intensity 17; 34.83 deg, intensity 25; 35.62 deg, intensity 100; 37.32 deg, intensity 37; 37.93 deg, intensity 20; 42.05 deg, intensity 24; 56.24 deg, intensity 18; 60.43 deg, intensity 18

Structure:
```
Tm3Al9Rh2
1.0
-2.149 4.824 6.100
2.149 -4.824 6.100
2.149 4.824 -6.100
Tm Al Rh
3 9 2
Direct
0.000 0.000 0.000
0.295 0.295 0.000
0.705 0.705 0.000
0.011 0.649 0.363
0.152 0.869 0.284
0.286 0.649 0.637
0.415 0.131 0.284
0.500 0.000 0.500
0.585 0.869 0.716
0.714 0.351 0.363
0.848 0.131 0.716
0.989 0.351 0.637
0.326 0.500 0.826
0.674 0.500 0.174
```


(8)
Simulated PXRD pattern of TmAl10Rh2 for copper Kα, from a GGA-PBE-relaxed structure.

Most intense lines, 2θ from 5° to 70°, by angle:
16.29 deg, intensity 45; 17.33 deg, intensity 46; 27.76 deg, intensity 77; 28.09 deg, intensity 39; 34.26 deg, intensity 47; 36.79 deg, intensity 38; 39.45 deg, intensity 43; 39.84 deg, intensity 100; 40.40 deg, intensity 72; 40.51 deg, intensity 64

Structure:
```
TmAl10Rh2
1.0
4.520 -5.118 0.000
4.520 5.118 0.000
0.000 0.000 9.138
Tm Al Rh
2 20 4
Direct
0.128 0.872 0.750
0.872 0.128 0.250
0.143 0.407 0.750
0.152 0.848 0.102
0.152 0.848 0.398
0.220 0.220 0.000
0.220 0.220 0.500
0.224 0.480 0.250
0.378 0.622 0.552
0.378 0.622 0.948
0.407 0.143 0.250
0.480 0.224 0.750
0.520 0.776 0.250
0.593 0.857 0.750
0.622 0.378 0.052
0.622 0.378 0.448
0.776 0.520 0.750
0.780 0.780 0.000
0.780 0.780 0.500
0.848 0.152 0.602
0.848 0.152 0.898
0.857 0.593 0.250
0.000 0.500 0.000
0.000 0.500 0.500
0.500 0.000 0.000
0.500 0.000 0.500
```